# 1
Simulated powder diffraction line list
Compound: Li2H4Ir
Radiation: λ = 1.5418 Å (Cu Kα)
Structure: a DFT-relaxed cell (PBE, Alexandria)

Largest 12 diffraction maxima, in order of falling intensity, 15 to 90 degrees two-theta:
two_theta  d [Å]  I_rel
21.48  4.136  100
21.97  4.045  49
32.74  2.735  35
36.43  2.466  30
42.92  2.107  17
45.37  1.999  17
42.41  2.131  17
37.37  2.407  14
38.20  2.356  14
38.31  2.350  13
60.26  1.536  11
58.59  1.576  10

```
7
Lattice="4.7133 -1.4487 0.0000 4.7133 1.4487 0.0000 -2.2431 0.0000 4.1308" Properties=species:S:1:pos:R:3 pbc="T T T"
Li 1.2328 0.0000 0.6539
Li 5.9507 0.0000 3.4769
H -0.0437 0.0000 2.0867
H 3.3608 0.0000 0.4124
H 3.8227 0.0000 3.7184
H 7.2273 0.0000 2.0440
Ir 3.5918 0.0000 2.0654
```



# 2
Simulated powder diffraction line list
Compound: Li3H7Ir
Radiation: λ = 1.5418 Å (Cu Kα)
Structure: a DFT-relaxed cell (PBE, Alexandria)

Largest 12 diffraction maxima, in order of falling intensity, 15 to 90 degrees two-theta:
two_theta  d [Å]  I_rel
21.62  4.111  100
23.46  3.792  79
20.31  4.373  58
35.89  2.502  33
35.15  2.553  28
27.89  3.199  26
29.28  3.050  23
38.68  2.328  22
40.88  2.208  21
32.18  2.781  21
51.46  1.776  20
44.06  2.055  15

```
11
Lattice="3.2333 -3.0503 0.0000 3.2333 3.0503 0.0000 -2.5918 0.0000 4.3733" Properties=species:S:1:pos:R:3 pbc="T T T"
Li 0.0000 0.0000 0.0000
Li 1.8604 1.3966 2.0945
Li 1.8604 -1.3966 2.0945
H 0.3415 1.1542 3.4021
H 1.8647 0.0000 0.7299
H 3.4744 1.4522 1.0300
H 0.3415 -1.1542 3.4021
H 2.1906 0.0000 3.4952
H 4.8570 0.0000 1.1457
H 3.4744 -1.4522 1.0300
Ir 3.4334 0.0000 0.1226
```



# 3
Simulated powder diffraction line list
Compound: LiMg3H6Ir2
Radiation: λ = 1.5418 Å (Cu Kα)
Structure: a DFT-relaxed cell (PBE, Alexandria)

Largest 12 diffraction maxima, in order of falling intensity, 15 to 90 degrees two-theta:
two_theta  d [Å]  I_rel
26.38  3.379  100
37.47  2.400  76
37.82  2.378  66
21.57  4.120  43
15.00  5.905  39
54.30  1.689  27
68.07  1.377  27
40.90  2.206  21
46.70  1.945  21
61.60  1.506  20
61.11  1.516  17
67.38  1.390  13

```
12
Lattice="4.7570 0.0000 0.0000 -2.3785 4.1197 0.0000 0.0000 0.0000 5.9054" Properties=species:S:1:pos:R:3 pbc="T T T"
Li 0.0000 0.0000 0.0000
Mg 0.0000 0.0000 2.9527
Mg 0.0000 2.7464 1.2276
Mg 2.3785 1.3732 4.6778
H 0.0000 1.3416 4.7811
H -1.2166 3.4489 4.7811
H 1.1619 0.6708 1.1242
H 1.2166 3.4489 4.7811
H 3.5951 0.6708 1.1242
H 2.3785 2.7780 1.1242
Ir 0.0000 2.7464 3.9168
Ir 2.3785 1.3732 1.9886
```



# 4
Simulated powder diffraction line list
Compound: Na2LiH6Ir
Radiation: λ = 1.5418 Å (Cu Kα)
Structure: a DFT-relaxed cell (PBE, Alexandria)

Largest 12 diffraction maxima, in order of falling intensity, 15 to 90 degrees two-theta:
two_theta  d [Å]  I_rel
19.77  4.491  100
26.72  3.336  97
17.80  4.984  67
39.16  2.300  54
34.59  2.593  49
41.44  2.179  42
44.24  2.047  26
57.34  1.607  24
66.67  1.403  21
55.05  1.668  19
50.82  1.797  19
40.16  2.246  15

```
10
Lattice="5.1858 0.0000 0.0000 -2.5929 4.4911 0.0000 0.0000 0.0000 4.9836" Properties=species:S:1:pos:R:3 pbc="T T T"
Na 0.0000 2.9940 0.7467
Na 2.5929 1.4970 4.2369
Li 0.0000 0.0000 2.4918
H 0.0000 1.3588 3.9826
H -1.4162 3.8117 3.9826
H 1.1768 0.6794 1.0011
H 1.4162 3.8117 3.9826
H 4.0091 0.6794 1.0011
H 2.5929 3.1323 1.0011
Ir 0.0000 0.0000 0.0000
```



Please write out number 1 again, unchanged.
Simulated powder diffraction line list
Compound: Li2H4Ir
Radiation: λ = 1.5418 Å (Cu Kα)
Structure: a DFT-relaxed cell (PBE, Alexandria)

Largest 12 diffraction maxima, in order of falling intensity, 15 to 90 degrees two-theta:
two_theta  d [Å]  I_rel
21.48  4.136  100
21.97  4.045  49
32.74  2.735  35
36.43  2.466  30
42.92  2.107  17
45.37  1.999  17
42.41  2.131  17
37.37  2.407  14
38.20  2.356  14
38.31  2.350  13
60.26  1.536  11
58.59  1.576  10

```
7
Lattice="4.7133 -1.4487 0.0000 4.7133 1.4487 0.0000 -2.2431 0.0000 4.1308" Properties=species:S:1:pos:R:3 pbc="T T T"
Li 1.2328 0.0000 0.6539
Li 5.9507 0.0000 3.4769
H -0.0437 0.0000 2.0867
H 3.3608 0.0000 0.4124
H 3.8227 0.0000 3.7184
H 7.2273 0.0000 2.0440
Ir 3.5918 0.0000 2.0654
```



What did the third record say?
Simulated powder diffraction line list
Compound: LiMg3H6Ir2
Radiation: λ = 1.5418 Å (Cu Kα)
Structure: a DFT-relaxed cell (PBE, Alexandria)

Largest 12 diffraction maxima, in order of falling intensity, 15 to 90 degrees two-theta:
two_theta  d [Å]  I_rel
26.38  3.379  100
37.47  2.400  76
37.82  2.378  66
21.57  4.120  43
15.00  5.905  39
54.30  1.689  27
68.07  1.377  27
40.90  2.206  21
46.70  1.945  21
61.60  1.506  20
61.11  1.516  17
67.38  1.390  13

```
12
Lattice="4.7570 0.0000 0.0000 -2.3785 4.1197 0.0000 0.0000 0.0000 5.9054" Properties=species:S:1:pos:R:3 pbc="T T T"
Li 0.0000 0.0000 0.0000
Mg 0.0000 0.0000 2.9527
Mg 0.0000 2.7464 1.2276
Mg 2.3785 1.3732 4.6778
H 0.0000 1.3416 4.7811
H -1.2166 3.4489 4.7811
H 1.1619 0.6708 1.1242
H 1.2166 3.4489 4.7811
H 3.5951 0.6708 1.1242
H 2.3785 2.7780 1.1242
Ir 0.0000 2.7464 3.9168
Ir 2.3785 1.3732 1.9886
```